Record 1
Diffraction record for Ag2Br3. The X-ray diffraction stick pattern is calculated, not measured: it uses a GGA-PBE-relaxed structure and Cu Kα (weighted mean of Kα1 and Kα2).

Cell and atoms:
Cell lengths 4.072, 12.290, 5.876 Å; angles 90.00, 90.00, 90.00 degrees
Space group Imm2 (No. 44)
Unique sites:
Ag  0.000  0.158  0.000 [4 per cell]
Br  0.000  0.000  0.291 [2 per cell]
Br  0.000  0.349  0.209 [4 per cell]

Main lines, low angle first (2θ from 10° to 90°):
d (Å), Position (°2θ), I_rel
3.361, 26.5, 81.4
3.347, 26.6, 100.0
2.939, 30.4, 20.2
2.264, 39.8, 27.7
2.060, 44.0, 79.2
2.048, 44.2, 19.4
2.036, 44.5, 22.8
1.766, 51.8, 21.1
1.747, 52.4, 23.8
1.741, 52.6, 23.3


Record 2
Diffraction record for PrAl3CuPd. The X-ray diffraction stick pattern is calculated, not measured: it uses a GGA-PBE-relaxed structure and Cu Kα (weighted mean of Kα1 and Kα2).

Cell and atoms:
Cell lengths 5.4721, 5.4721, 4.1818 Å; angles 90.00, 90.00, 120.00 degrees
Space group P-6m2 (No. 187)
Unique sites:
Pr  0.0000  0.0000  0.0000 [1 per cell]
Al  0.5017  0.0033  0.5000 [3 per cell]
Cu  0.6667  0.3333  0.0000 [1 per cell]
Pd  0.3333  0.6667  0.0000 [1 per cell]

Main lines, low angle first (2θ from 10° to 90°):
d (Å), Position (°2θ), I_rel
4.182, 21.2, 38.2
3.136, 28.5, 15.2
2.736, 32.7, 59.2
2.290, 39.4, 100.0
2.091, 43.3, 16.9
1.661, 55.3, 26.0
1.478, 62.9, 24.4
1.368, 68.6, 12.5
1.242, 76.7, 13.5
1.145, 84.7, 14.0


Record 3
Diffraction record for Tm3NiTe5. The X-ray diffraction stick pattern is calculated, not measured: it uses a GGA-PBE-relaxed structure and Cu Kα (weighted mean of Kα1 and Kα2).

Cell and atoms:
Cell lengths 8.5430, 8.5430, 4.0699 Å; angles 90.00, 90.00, 120.00 degrees
Space group P-62m (No. 189)
Unique sites:
Tm  0.0000  0.2689  0.0000 [3 per cell]
Ni  0.0000  0.0000  0.5000 [1 per cell]
Te  0.0000  0.7105  0.5000 [3 per cell]
Te  0.3333  0.6667  0.0000 [2 per cell]

Main lines, low angle first (2θ from 10° to 90°):
d (Å), Position (°2θ), I_rel
7.398, 12.0, 16.5
3.699, 24.1, 18.3
2.947, 30.3, 100.0
2.796, 32.0, 13.6
2.466, 36.4, 51.2
2.305, 39.1, 54.9
2.035, 44.5, 17.3
1.570, 58.8, 25.2
1.567, 59.0, 21.6
1.263, 75.2, 17.5


Record 4
Diffraction record for CsFeCuTeS2. The X-ray diffraction stick pattern is calculated, not measured: it uses a GGA-PBE-relaxed structure and Cu Kα (weighted mean of Kα1 and Kα2).

Cell and atoms:
Cell lengths 3.578, 16.964, 9.873 Å; angles 90.00, 90.00, 90.00 degrees
Space group Cmcm (No. 63)
Unique sites:
Cs  0.000  0.225  0.250 [4 per cell]
Fe  0.000  0.000  0.000 [4 per cell]
Cu  0.000  0.464  0.750 [4 per cell]
Te  0.000  0.075  0.750 [4 per cell]
S  0.000  0.407  0.545 [8 per cell]

Main lines, low angle first (2θ from 10° to 90°):
d (Å), Position (°2θ), I_rel
8.482, 10.4, 37.3
4.936, 18.0, 43.1
3.897, 22.8, 19.3
2.891, 30.9, 100.0
2.579, 34.8, 21.5
2.468, 36.4, 33.5
2.227, 40.5, 28.7
1.859, 49.0, 35.4
1.789, 51.0, 14.4
1.653, 55.6, 24.0


Record 5
Diffraction record for SmB2H8. The X-ray diffraction stick pattern is calculated, not measured: it uses a GGA-PBE-relaxed structure and Cu Kα (weighted mean of Kα1 and Kα2).

Cell and atoms:
Cell lengths 7.133, 7.596, 6.748 Å; angles 90.00, 90.00, 90.00 degrees
Space group Pbcn (No. 60)
Unique sites:
Sm  0.000  0.102  0.250 [4 per cell]
B  0.247  0.368  0.104 [8 per cell]
H  0.111  0.201  0.670 [8 per cell]
H  0.145  0.420  0.237 [8 per cell]
H  0.166  0.267  0.991 [8 per cell]
H  0.212  0.002  0.501 [8 per cell]

Main lines, low angle first (2θ from 10° to 90°):
d (Å), Position (°2θ), I_rel
5.200, 17.1, 100.0
4.119, 21.6, 64.2
3.566, 25.0, 22.6
3.374, 26.4, 25.5
3.310, 26.9, 38.8
2.830, 31.6, 43.6
2.451, 36.7, 26.0
2.426, 37.1, 48.2
2.250, 40.1, 33.6
1.883, 48.3, 14.4


Record 6
Diffraction record for MgZnSO. The X-ray diffraction stick pattern is calculated, not measured: it uses a GGA-PBE-relaxed structure and Cu Kα (weighted mean of Kα1 and Kα2).

Cell and atoms:
Cell lengths 5.454, 3.485, 12.733 Å; angles 90.00, 90.00, 90.00 degrees
Space group Pnma (No. 62)
Unique sites:
Mg  0.232  0.250  0.091 [4 per cell]
Zn  0.147  0.750  0.314 [4 per cell]
S  0.236  0.750  0.925 [4 per cell]
O  0.221  0.250  0.672 [4 per cell]

Main lines, low angle first (2θ from 10° to 90°):
d (Å), Position (°2θ), I_rel
6.367, 13.9, 36.9
4.142, 21.5, 35.8
3.356, 26.6, 100.0
2.727, 32.8, 55.0
2.693, 33.3, 89.6
2.666, 33.6, 75.5
2.415, 37.2, 37.3
2.056, 44.0, 28.1
1.916, 47.4, 35.8
1.742, 52.5, 32.5


Record 7
Diffraction record for Nb4NiGeC2. The X-ray diffraction stick pattern is calculated, not measured: it uses a GGA-PBE-relaxed structure and Cu Kα (weighted mean of Kα1 and Kα2).

Cell and atoms:
Cell lengths 3.1851, 3.1851, 12.8472 Å; angles 90.00, 90.00, 120.00 degrees
Space group P-6m2 (No. 187)
Unique sites:
Nb  0.0000  0.0000  0.1513 [2 per cell]
Nb  0.3333  0.6667  0.3407 [2 per cell]
Ni  0.3333  0.6667  0.0000 [1 per cell]
Ge  0.0000  0.0000  0.5000 [1 per cell]
C  0.6667  0.3333  0.2447 [2 per cell]

Main lines, low angle first (2θ from 10° to 90°):
d (Å), Position (°2θ), I_rel
2.758, 32.5, 24.0
2.319, 38.8, 100.0
2.141, 42.2, 14.4
1.691, 54.2, 12.6
1.593, 57.9, 22.2
1.528, 60.6, 3.3
1.313, 71.9, 15.4
1.278, 74.2, 15.6
1.268, 74.9, 10.5
1.159, 83.3, 3.4


Record 8
Diffraction record for AuI. The X-ray diffraction stick pattern is calculated, not measured: it uses a GGA-PBE-relaxed structure and Cu Kα (weighted mean of Kα1 and Kα2).

Cell and atoms:
Cell lengths 6.217, 6.241, 13.405 Å; angles 90.00, 90.00, 90.00 degrees
Space group Cmm2 (No. 35)
Unique sites:
Au  0.000  0.250  0.000 [4 per cell]
Au  0.250  0.000  0.498 [4 per cell]
I  0.000  0.000  0.158 [2 per cell]
I  0.000  0.000  0.657 [2 per cell]
I  0.000  0.500  0.340 [2 per cell]
I  0.000  0.500  0.842 [2 per cell]

Main lines, low angle first (2θ from 10° to 90°):
d (Å), Position (°2θ), I_rel
6.703, 13.2, 100.0
3.681, 24.2, 66.5
3.039, 29.4, 59.5
3.028, 29.5, 59.1
2.555, 35.1, 75.3
2.234, 40.4, 32.8
2.092, 43.2, 67.0
2.032, 44.6, 39.1
1.840, 49.5, 57.9
1.631, 56.4, 19.7


Record 9
Diffraction record for Sm6MgTa2B8SeO26. The X-ray diffraction stick pattern is calculated, not measured: it uses a GGA-PBE-relaxed structure and Cu Kα (weighted mean of Kα1 and Kα2).

Cell and atoms:
Cell lengths 8.0636, 8.0636, 8.6542 Å; angles 90.00, 90.00, 120.00 degrees
Space group P-3 (No. 147)
Unique sites:
Sm  0.0977  0.3374  0.1982 [6 per cell]
Mg  0.0000  0.0000  0.5000 [1 per cell]
Ta  0.3333  0.6667  0.8789 [2 per cell]
B  0.1220  0.4096  0.6117 [6 per cell]
B  0.3333  0.6667  0.4144 [2 per cell]
Se  0.0000  0.0000  0.0000 [1 per cell]
O  0.0677  0.2256  0.6564 [6 per cell]
O  0.1050  0.5310  0.7164 [6 per cell]
O  0.1497  0.7099  0.9782 [6 per cell]
O  0.1946  0.4694  0.4649 [6 per cell]
O  0.3333  0.6667  0.2471 [2 per cell]

Main lines, low angle first (2θ from 10° to 90°):
d (Å), Position (°2θ), I_rel
8.654, 10.2, 63.7
3.655, 24.4, 57.3
3.492, 25.5, 24.6
3.238, 27.5, 100.0
2.950, 30.3, 44.0
2.717, 33.0, 77.2
2.253, 40.0, 29.3
1.947, 46.6, 25.3
1.768, 51.7, 22.0
1.608, 57.3, 25.0


Copy entry 5 word for word.
Diffraction record for SmB2H8. The X-ray diffraction stick pattern is calculated, not measured: it uses a GGA-PBE-relaxed structure and Cu Kα (weighted mean of Kα1 and Kα2).

Cell and atoms:
Cell lengths 7.133, 7.596, 6.748 Å; angles 90.00, 90.00, 90.00 degrees
Space group Pbcn (No. 60)
Unique sites:
Sm  0.000  0.102  0.250 [4 per cell]
B  0.247  0.368  0.104 [8 per cell]
H  0.111  0.201  0.670 [8 per cell]
H  0.145  0.420  0.237 [8 per cell]
H  0.166  0.267  0.991 [8 per cell]
H  0.212  0.002  0.501 [8 per cell]

Main lines, low angle first (2θ from 10° to 90°):
d (Å), Position (°2θ), I_rel
5.200, 17.1, 100.0
4.119, 21.6, 64.2
3.566, 25.0, 22.6
3.374, 26.4, 25.5
3.310, 26.9, 38.8
2.830, 31.6, 43.6
2.451, 36.7, 26.0
2.426, 37.1, 48.2
2.250, 40.1, 33.6
1.883, 48.3, 14.4